# Sm6DyEr6
Calculated X-ray diffraction stick pattern, Cu Kα. Input: a GGA-PBE-relaxed structure.
Neutral-atom scattering factors, no anomalous dispersion.

Main lines, in order of rising 2θ (10° ≤ 2θ ≤ 80°):
- 2θ = 29.09°, I 100
- 2θ = 29.93°, I 41
- 2θ = 30.07°, I 77
- 2θ = 32.22°, I 50
- 2θ = 32.42°, I 35
- 2θ = 34.14°, I 52
- 2θ = 34.28°, I 72
- 2θ = 35.24°, I 39
- 2θ = 36.19°, I 27
- 2θ = 51.85°, I 24

Atomic structure:
Cell: 6.566 11.046 6.598 Å, 90.00 115.20 90.00°
Fractional coordinates of all 13 atoms:
Sm (0.000, 0.171, 0.000)
Sm (0.000, 0.829, 0.000)
Sm (0.270, 0.000, 0.743)
Sm (0.328, 0.500, 0.611)
Sm (0.672, 0.500, 0.389)
Sm (0.730, 0.000, 0.257)
Dy (0.000, 0.500, 0.000)
Er (0.000, 0.267, 0.500)
Er (0.000, 0.733, 0.500)
Er (0.500, 0.198, 0.500)
Er (0.500, 0.285, 0.000)
Er (0.500, 0.715, 0.000)
Er (0.500, 0.802, 0.500)